The following is a theoretical powder diffractogram of Li2Zn8Ag. It was derived from the GGA-PBE geometry in Alexandria, using copper Kα.
Intensities are scaled so that the largest is 100.

Largest 10 diffraction maxima, by angle, 2θ = 10–90°:
16.15°, I = 15, hkl 0 1 0; 18.01°, I = 20, hkl 0 1 -1; 25.49°, I = 10, hkl 1 -1 1; 39.57°, I = 100, hkl 0 1 2; 40.11°, I = 48, hkl 1 -2 2; 40.43°, I = 47, hkl 1 2 -1; 45.79°, I = 32, hkl 1 1 -3; 46.09°, I = 32, hkl 2 0 1; 47.40°, I = 29, hkl 1 -3 0; 67.16°, I = 10, hkl 3 1 -2

Structure:
```
data_Li2Zn8Ag
_cell_length_a 4.8331
_cell_length_b 6.0408
_cell_length_c 6.2724
_cell_angle_alpha 106.92
_cell_angle_beta 97.98
_cell_angle_gamma 104.89
_symmetry_space_group_name_H-M 'P -1'
_symmetry_Int_Tables_number 2
loop_
_symmetry_equiv_pos_as_xyz
'x,y,z'
'-x,-y,-z'
loop_
_atom_site_label
_atom_site_type_symbol
_atom_site_fract_x
_atom_site_fract_y
_atom_site_fract_z
_atom_site_occupancy
Li1 Li 0.0964 0.3641 0.3178 1
Zn1 Zn 0.1774 0.7258 0.1393 1
Zn2 Zn 0.2779 0.0893 0.9621 1
Zn3 Zn 0.3699 0.4574 0.7765 1
Zn4 Zn 0.4518 0.8135 0.5914 1
Ag1 Ag 0.0000 0.0000 0.5000 1
```